[1]
Calculated X-ray powder pattern of YZrFe4 for Cu Kα, from a structure optimized by DFT (PBE).
Neutral-atom scattering factors, no anomalous dispersion.

Most intense lines, 5 to 70 degrees two-theta, sorted by position:
hkl, Position (°2θ), Rel. int.
2 2 0, 35.26, 44
3 1 1, 41.60, 100
2 2 2, 43.54, 26
4 0 0, 50.72, 1
4 2 2, 63.27, 15
5 1 1, 67.61, 29

Structure:
```
data_YZrFe4
_cell_length_a 7.200
_cell_length_b 7.200
_cell_length_c 7.200
_cell_angle_alpha 90.00
_cell_angle_beta 90.00
_cell_angle_gamma 90.00
_space_group_name_H-M_alt 'F -4 3 m'
_space_group_IT_number 216
_space_group_name_Hall 'F -4 2 3'
loop_
_atom_site_label
_atom_site_type_symbol
_atom_site_fract_x
_atom_site_fract_y
_atom_site_fract_z
_atom_site_occupancy
Y1 Y 0.000 0.000 0.000 1
Zr1 Zr 0.250 0.250 0.250 1
Fe1 Fe 0.125 0.125 0.625 1
```

[2]
Calculated X-ray powder pattern of Cu3SbS3 for Cu Kα, from a structure optimized by DFT (PBE).
Neutral-atom scattering factors, no anomalous dispersion.

Most intense lines, 5 to 70 degrees two-theta, sorted by position:
hkl, Position (°2θ), Rel. int.
2 2 2, 30.70, 100
3 2 1, 33.23, 12
4 0 0, 35.60, 18
4 1 1, 37.84, 18
4 3 1, 45.87, 24
4 4 0, 51.23, 34
6 1 1, 56.21, 17
6 2 2, 60.92, 18

Structure:
```
data_Cu3SbS3
_cell_length_a 10.087
_cell_length_b 10.087
_cell_length_c 10.087
_cell_angle_alpha 90.00
_cell_angle_beta 90.00
_cell_angle_gamma 90.00
_space_group_name_H-M_alt 'I -4 3 m'
_space_group_IT_number 217
_space_group_name_Hall 'I -4 2 3'
loop_
_atom_site_label
_atom_site_type_symbol
_atom_site_fract_x
_atom_site_fract_y
_atom_site_fract_z
_atom_site_occupancy
Cu1 Cu 0.000 0.000 0.184 1
Cu2 Cu 0.000 0.250 0.500 1
Sb1 Sb 0.225 0.225 0.775 1
S1 S 0.113 0.113 0.358 1
```